For SrLaAl3O7, the GGA-PBE geometry in Alexandria gives the simulated powder diffractogram in this record (copper Kα).

Structural model:
Cell lengths 7.9572, 7.9572, 5.2734 Å; angles 90.00, 90.00, 90.18 degrees
Sites, in units of the cell vectors:
Sr 0.1615 0.1615 0.0000
Sr 0.8385 0.8385 0.0000
La 0.3364 0.6636 0.0201
La 0.6636 0.3364 0.0201
Al 0.0000 0.5000 0.5095
Al 0.1437 0.8563 0.4732
Al 0.3575 0.3575 0.5475
Al 0.5000 0.0000 0.5095
Al 0.6425 0.6425 0.5475
Al 0.8563 0.1437 0.4732
O 0.0000 0.0000 0.3479
O 0.0910 0.6622 0.3190
O 0.1511 0.8489 0.8041
O 0.1657 0.4166 0.6953
O 0.3378 0.9090 0.3190
O 0.3674 0.3674 0.2151
O 0.4166 0.1657 0.6953
O 0.5000 0.5000 0.6945
O 0.5834 0.8343 0.6953
O 0.6326 0.6326 0.2151
O 0.6622 0.0910 0.3190
O 0.8343 0.5834 0.6953
O 0.8489 0.1511 0.8041
O 0.9090 0.3378 0.3190

Peak list (10 most intense, 15 to 90 degrees two-theta, by intensity)
two_theta	I (rel.)
30.30	100
42.68	23
28.10	23
50.11	19
23.13	18
35.68	16
25.02	16
16.81	15
58.57	15
50.35	14